Calculated powder XRD pattern of SiP2S4 for Cu Kα (weighted mean of Kα1 and Kα2), from a crystal structure in Alexandria, relaxed with PBE.
Kinematic intensities with the Lorentz-polarization factor, no thermal factor.

Structure:
```
SiP2S4
1.0
6.263 0.000 0.000
0.000 6.263 0.000
0.000 0.000 7.673
Si P S
2 4 8
Direct
0.000 0.000 0.000
0.500 0.500 0.500
0.000 0.500 0.250
0.000 0.500 0.750
0.500 0.000 0.250
0.500 0.000 0.750
0.212 0.212 0.144
0.212 0.788 0.856
0.288 0.288 0.644
0.288 0.712 0.356
0.712 0.288 0.356
0.712 0.712 0.644
0.788 0.212 0.856
0.788 0.788 0.144
```

Peak list (10 most intense, 10 to 90 degrees two-theta, by angle)
(1 0 1), d 4.852, 2θ = 18.28°, rel. 43; (0 0 2), d 3.837, 2θ = 23.18°, rel. 11; (1 1 2), d 2.900, 2θ = 30.83°, rel. 100; (2 1 1), d 2.631, 2θ = 34.07°, rel. 15; (2 2 0), d 2.214, 2θ = 40.75°, rel. 36; (3 1 2), d 1.760, 2θ = 51.96°, rel. 35; (3 2 1), d 1.694, 2θ = 54.13°, rel. 11; (2 0 4), d 1.636, 2θ = 56.23°, rel. 26; (4 1 1), d 1.490, 2θ = 62.31°, rel. 9; (4 2 4), d 1.131, 2θ = 85.93°, rel. 10